(1)
NbAlFe4: calculated XRD peak list (Cu Kα X-rays), based on a crystal structure in the Materials Project, relaxed with GGA-PBE.
Intensities are scaled so that the largest is 100.

Top 6 peaks for 10 to 90 degrees two-theta, in order of rising 2θ:
2theta  I/Imax
11.45  38.1
37.48  32.2
41.23  78.5
44.44  94.9
45.18  100.0
70.17  28.1

Structure:
```
NbAlFe4
1.0
4.7991 0.0000 0.0000
-2.3996 4.1562 0.0000
0.0000 0.0000 7.7289
Nb Al Fe
2 2 8
Cartesian
0.0000 2.7708 0.6027 Nb
2.3996 1.3854 7.1262 Nb
0.0000 2.7708 3.4342 Al
2.3996 1.3854 4.2947 Al
0.0000 0.0000 0.0000 Fe
0.0000 0.0000 3.8645 Fe
0.0000 1.4062 5.7784 Fe
-1.1817 3.4530 5.7784 Fe
1.2178 0.7031 1.9506 Fe
1.1817 3.4530 5.7784 Fe
3.5813 0.7031 1.9506 Fe
2.3996 2.7499 1.9506 Fe
```

(2)
NbAlFe: calculated XRD peak list (Cu Kα X-rays), based on a crystal structure in the Materials Project, relaxed with GGA-PBE.
Intensities are scaled so that the largest is 100.

Top 6 peaks for 10 to 90 degrees two-theta, in order of rising 2θ:
2theta  I/Imax
36.42  37.6
39.17  100.0
39.31  37.7
42.45  45.8
42.84  90.4
43.46  64.6

Structure:
```
NbAlFe
1.0
8.1595 0.0000 0.0000
0.0000 2.4967 4.2567
0.0000 -2.4967 4.2567
Nb Al Fe
4 4 4
Cartesian
1.4737 0.0000 0.0000 Nb
2.4806 0.0000 5.6910 Nb
5.6789 0.0000 5.6910 Nb
6.6859 0.0000 0.0000 Nb
1.9721 0.0000 2.7810 Al
4.0798 -1.2807 3.6061 Al
4.0798 1.2807 3.6061 Al
6.1874 0.0000 2.7810 Al
0.0000 0.0000 4.2885 Fe
0.0000 -1.1994 6.3512 Fe
0.0000 1.1994 6.3512 Fe
4.0798 0.0000 1.4402 Fe
```

(3)
Nd2Al2Fe15: calculated XRD peak list (Cu Kα X-rays), based on a crystal structure in the Materials Project, relaxed with GGA-PBE.
Intensities are scaled so that the largest is 100.

Top 6 peaks for 10 to 90 degrees two-theta, in order of rising 2θ:
2theta  I/Imax
29.88  38.6
36.41  30.4
42.29  53.6
42.53  100.0
43.26  51.8
62.10  29.6

Structure:
```
Nd2Al2Fe15
1.0
4.2740 2.4676 4.1852
-4.2740 2.4676 4.1852
0.0000 -4.9352 4.1852
Nd Al Fe
2 2 15
Cartesian
0.0000 0.0000 1.9044 Nd
0.0000 0.0000 10.6513 Nd
0.0000 0.0000 4.9921 Al
0.0000 0.0000 7.5636 Al
-2.1370 -1.2338 4.1852 Fe
0.0000 -2.4364 4.0665 Fe
-2.1100 1.2182 4.0665 Fe
-1.2370 -2.1425 6.2778 Fe
-2.4740 0.0000 6.2778 Fe
-2.1100 -1.2182 8.4892 Fe
-2.1370 1.2338 8.3705 Fe
1.2370 -2.1425 6.2778 Fe
0.0000 2.4676 4.1852 Fe
-1.2370 2.1425 6.2778 Fe
2.1100 1.2182 4.0665 Fe
2.4740 0.0000 6.2778 Fe
1.2370 2.1425 6.2778 Fe
2.1100 -1.2182 8.4892 Fe
0.0000 2.4364 8.4892 Fe
```

(4)
NdAl8Fe4: calculated XRD peak list (Cu Kα X-rays), based on a crystal structure in the Materials Project, relaxed with GGA-PBE.
Intensities are scaled so that the largest is 100.

Top 6 peaks for 10 to 90 degrees two-theta, in order of rising 2θ:
2theta  I/Imax
20.27  31.6
28.75  67.9
35.41  30.5
41.09  100.0
41.23  68.3
74.90  28.7

Structure:
```
NdAl8Fe4
1.0
-4.3957 4.3957 2.5250
4.3957 -4.3957 2.5250
4.3957 4.3957 -2.5250
Nd Al Fe
1 8 4
Cartesian
0.0000 0.0000 0.0000 Nd
3.0072 0.0000 0.0000 Al
5.7843 0.0000 0.0000 Al
4.3957 2.4324 0.0000 Al
0.0000 3.0072 0.0000 Al
2.4324 4.3957 0.0000 Al
1.9633 0.0000 2.5250 Al
0.0000 5.7843 0.0000 Al
0.0000 1.9633 2.5250 Al
2.1979 2.1979 -1.2625 Fe
2.1979 -2.1979 1.2625 Fe
-2.1979 2.1979 1.2625 Fe
2.1979 2.1979 1.2625 Fe
```

(5)
Al2FeNi: calculated XRD peak list (Cu Kα X-rays), based on a crystal structure in the Materials Project, relaxed with GGA-PBE.
Intensities are scaled so that the largest is 100.

Top 6 peaks for 10 to 90 degrees two-theta, in order of rising 2θ:
2theta  I/Imax
31.14  21.8
44.62  100.0
55.41  5.0
64.93  15.2
73.77  5.6
82.21  30.0

Structure:
```
Al2FeNi
1.0
5.7444 0.0000 0.0000
0.0000 5.7444 0.0000
0.0000 0.0000 5.7444
Al Fe Ni
8 4 4
Cartesian
1.4361 1.4361 1.4361 Al
1.4361 1.4361 4.3083 Al
1.4361 4.3083 1.4361 Al
1.4361 4.3083 4.3083 Al
4.3083 1.4361 1.4361 Al
4.3083 1.4361 4.3083 Al
4.3083 4.3083 1.4361 Al
4.3083 4.3083 4.3083 Al
0.0000 0.0000 0.0000 Fe
0.0000 2.8722 2.8722 Fe
2.8722 0.0000 2.8722 Fe
2.8722 2.8722 0.0000 Fe
0.0000 0.0000 2.8722 Ni
0.0000 2.8722 0.0000 Ni
2.8722 0.0000 0.0000 Ni
2.8722 2.8722 2.8722 Ni
```

(6)
Al2FeNi: calculated XRD peak list (Cu Kα X-rays), based on a crystal structure in the Materials Project, relaxed with GGA-PBE.
Intensities are scaled so that the largest is 100.

Top 6 peaks for 10 to 90 degrees two-theta, in order of rising 2θ:
2theta  I/Imax
30.88  22.8
44.24  52.3
44.83  100.0
64.35  16.0
81.83  30.8
83.10  14.6

Structure:
```
Al2FeNi
1.0
2.8955 0.0000 0.0000
0.0000 2.8955 0.0000
0.0000 0.0000 5.6477
Al Fe Ni
2 1 1
Cartesian
0.0000 0.0000 1.3544 Al
0.0000 0.0000 4.2932 Al
1.4478 1.4478 0.0000 Fe
1.4478 1.4478 2.8238 Ni
```

(7)
NpAl8Fe4: calculated XRD peak list (Cu Kα X-rays), based on a crystal structure in the Materials Project, relaxed with GGA-PBE.
Intensities are scaled so that the largest is 100.

Top 6 peaks for 10 to 90 degrees two-theta, in order of rising 2θ:
2theta  I/Imax
14.40  35.9
20.43  33.2
29.04  59.2
35.77  25.4
41.54  100.0
60.19  30.8

Structure:
```
NpAl8Fe4
1.0
-4.3490 4.3490 2.5098
4.3490 -4.3490 2.5098
4.3490 4.3490 -2.5098
Np Al Fe
1 8 4
Cartesian
0.0000 0.0000 0.0000 Np
2.9745 0.0000 0.0000 Al
5.7235 0.0000 0.0000 Al
4.3490 2.4383 0.0000 Al
0.0000 2.9745 0.0000 Al
2.4383 4.3490 0.0000 Al
1.9108 0.0000 2.5098 Al
0.0000 5.7235 0.0000 Al
0.0000 1.9108 2.5098 Al
2.1745 2.1745 -1.2549 Fe
2.1745 -2.1745 1.2549 Fe
-2.1745 2.1745 1.2549 Fe
2.1745 2.1745 1.2549 Fe
```